Record 1
Starting from the GGA-PBE geometry in the Materials Project, the powder X-ray diffraction pattern of RbMgF3 was calculated for CuKα.

Structural model:
```
RbMgF3
1.0
5.929 0.000 0.000
-2.965 5.135 0.000
0.000 0.000 14.438
Rb Mg F
6 6 18
Cartesian
0.000 0.000 3.610
0.000 0.000 10.829
0.000 3.423 1.418
0.000 3.423 5.801
2.965 1.712 8.637
2.965 1.712 13.020
0.000 0.000 0.000
0.000 0.000 7.219
0.000 3.423 9.419
0.000 3.423 12.238
2.965 1.712 2.200
2.965 1.712 5.019
-1.296 2.675 10.829
0.000 1.705 8.372
0.000 1.705 13.285
-1.488 4.283 8.372
-1.488 4.283 13.285
1.476 0.852 1.153
1.476 0.852 6.066
1.296 2.675 10.829
0.000 4.920 10.829
2.965 0.215 3.610
1.669 2.460 3.610
1.488 4.283 8.372
1.488 4.283 13.285
4.453 0.852 1.153
4.453 0.852 6.066
2.965 3.430 1.153
2.965 3.430 6.066
4.261 2.460 3.610
```

Largest 8 diffraction maxima, in order of rising 2θ, 10° ≤ 2θ ≤ 90°:
- 25.36 deg, d 3.512, intensity 46
- 30.14 deg, d 2.965, intensity 100
- 30.27 deg, d 2.953, intensity 74
- 37.17 deg, d 2.419, intensity 40
- 39.79 deg, d 2.265, intensity 64
- 43.24 deg, d 2.092, intensity 71
- 53.58 deg, d 1.710, intensity 50
- 62.67 deg, d 1.482, intensity 34


Record 2
Starting from the GGA-PBE geometry in the Materials Project, the powder X-ray diffraction pattern of Tb3Ga2 was calculated for CuKα.

Structural model:
```
Tb3Ga2
1.0
-5.837 5.837 7.506
5.837 -5.837 7.506
5.837 5.837 -7.506
Tb Ga
24 16
Cartesian
6.624 -3.468 5.463
2.369 -0.787 2.043
5.837 0.000 2.210
6.624 3.468 -2.043
3.872 1.965 0.000
9.304 0.787 2.043
3.468 5.049 -2.043
3.872 -1.965 7.506
0.787 2.369 2.043
5.837 0.000 5.296
2.369 0.787 5.463
6.624 3.468 2.043
-0.787 2.369 5.463
3.468 5.049 2.043
0.000 5.837 2.210
5.049 3.468 5.463
1.965 7.802 0.000
2.369 0.787 9.549
-3.468 5.049 5.463
1.965 3.872 7.506
-0.787 2.369 9.549
0.000 5.837 5.296
3.468 6.624 5.463
-0.787 9.304 2.043
0.000 0.000 0.000
7.914 -2.077 3.016
7.195 1.358 0.000
3.759 -2.077 4.490
0.000 0.000 3.753
3.759 2.077 3.016
1.358 4.478 0.000
7.914 2.077 4.490
0.000 0.000 7.506
-2.077 3.759 3.016
4.478 1.358 7.506
2.077 3.759 4.490
0.000 0.000 11.259
2.077 7.914 3.016
-1.358 4.478 7.506
-2.077 7.914 4.490
```

Largest 8 diffraction maxima, in order of rising 2θ, 10° ≤ 2θ ≤ 90°:
- 32.19 deg, d 2.781, intensity 100
- 32.54 deg, d 2.751, intensity 29
- 32.95 deg, d 2.719, intensity 41
- 34.07 deg, d 2.632, intensity 93
- 34.36 deg, d 2.610, intensity 26
- 34.46 deg, d 2.603, intensity 18
- 36.46 deg, d 2.464, intensity 30
- 61.35 deg, d 1.511, intensity 19